(1)
Simulated PXRD pattern
Compound: KCu3ReTe4
Radiation: a wavelength of 1.5418 Å
Structure: a crystal structure in OQMD, relaxed with PBE
No peak broadening, texture or thermal motion is included.

Peak list (6 most intense, 10 to 90 degrees two-theta, by angle)
2theta	Rel. int.
13.58	72
23.64	75
39.09	100
46.19	30
50.48	23
70.82	27

Atomic structure:
```
data_KCu3ReTe4
_symmetry_space_group_name_H-M 'P -4 3 m'
_symmetry_Int_Tables_number 215
_symmetry_space_group_name_Hall 'P -4 2 3'
_cell_length_a 6.518
_cell_length_b 6.518
_cell_length_c 6.518
_cell_angle_alpha 90.00
_cell_angle_beta 90.00
_cell_angle_gamma 90.00
loop_
_atom_site_label
_atom_site_fract_x
_atom_site_fract_y
_atom_site_fract_z
K1 0.000 0.000 0.000
Cu1 0.000 0.500 0.500
Re1 0.500 0.500 0.500
Te1 0.276 0.276 0.276
```


(2)
Simulated PXRD pattern
Compound: K3Cu4S4
Radiation: a wavelength of 1.5418 Å
Structure: a crystal structure in OQMD, relaxed with PBE
No peak broadening, texture or thermal motion is included.

Peak list (6 most intense, 10 to 90 degrees two-theta, by angle)
2theta	Rel. int.
11.27	61
12.69	100
30.69	34
34.80	52
37.15	20
47.50	22

Atomic structure:
```
data_K3Cu4S4
_symmetry_space_group_name_H-M 'P b a m'
_symmetry_Int_Tables_number 55
_cell_length_a 7.785
_cell_length_b 15.706
_cell_length_c 3.828
_cell_angle_alpha 90.00
_cell_angle_beta 90.00
_cell_angle_gamma 90.00
loop_
_symmetry_equiv_pos_as_xyz
'x,y,z'
'-x,-y,-z'
'-x,-y,z'
'x,y,-z'
'x+1/2,-y+1/2,-z'
'-x+1/2,y+1/2,z'
'-x+1/2,y+1/2,-z'
'x+1/2,-y+1/2,z'
loop_
_atom_site_label
_atom_site_fract_x
_atom_site_fract_y
_atom_site_fract_z
K1 0.000 0.000 0.000
K2 0.003 0.232 0.500
Cu1 0.059 0.416 0.000
Cu2 0.162 0.565 0.500
S1 0.214 0.643 0.000
S2 0.217 0.419 0.500
```


(3)
Simulated PXRD pattern
Compound: K3Cu4S4
Radiation: a wavelength of 1.5418 Å
Structure: a crystal structure in OQMD, relaxed with PBE
No peak broadening, texture or thermal motion is included.

Peak list (6 most intense, 10 to 90 degrees two-theta, by angle)
2theta	Rel. int.
11.30	63
12.65	100
30.75	28
34.77	55
37.14	27
43.58	31

Atomic structure:
```
data_K3Cu4S4
_symmetry_space_group_name_H-M 'P b a m'
_symmetry_Int_Tables_number 55
_cell_length_a 7.822
_cell_length_b 15.662
_cell_length_c 3.820
_cell_angle_alpha 90.00
_cell_angle_beta 90.00
_cell_angle_gamma 90.00
loop_
_symmetry_equiv_pos_as_xyz
'x,y,z'
'-x,-y,-z'
'-x,-y,z'
'x,y,-z'
'x+1/2,-y+1/2,-z'
'-x+1/2,y+1/2,z'
'-x+1/2,y+1/2,-z'
'x+1/2,-y+1/2,z'
loop_
_atom_site_label
_atom_site_fract_x
_atom_site_fract_y
_atom_site_fract_z
K1 0.000 0.000 0.000
K2 0.018 0.233 0.500
Cu1 0.071 0.416 0.000
Cu2 0.153 0.560 0.500
S1 0.203 0.640 0.000
S2 0.228 0.416 0.500
```


(4)
Simulated PXRD pattern
Compound: KCu2SbS3
Radiation: a wavelength of 1.5418 Å
Structure: a crystal structure in OQMD, relaxed with PBE
No peak broadening, texture or thermal motion is included.

Peak list (6 most intense, 10 to 90 degrees two-theta, by angle)
2theta	Rel. int.
27.81	49
28.89	50
29.31	100
30.42	98
30.54	70
31.16	75

Atomic structure:
```
data_KCu2SbS3
_symmetry_space_group_name_H-M 'P -1'
_symmetry_Int_Tables_number 2
_cell_length_a 6.419
_cell_length_b 9.159
_cell_length_c 10.480
_cell_angle_alpha 90.56
_cell_angle_beta 91.11
_cell_angle_gamma 91.36
loop_
_symmetry_equiv_pos_as_xyz
'x,y,z'
'-x,-y,-z'
loop_
_atom_site_label
_atom_site_fract_x
_atom_site_fract_y
_atom_site_fract_z
K1 0.196 0.426 0.132
K2 0.298 0.569 0.630
Cu1 0.003 0.886 0.670
Cu2 0.078 0.839 0.046
Cu3 0.424 0.157 0.538
Cu4 0.483 0.263 0.862
Sb1 0.035 0.818 0.353
Sb2 0.474 0.956 0.854
S1 0.136 0.313 0.834
S2 0.137 0.075 0.135
S3 0.148 0.291 0.458
S4 0.345 0.715 0.943
S5 0.353 0.924 0.627
S6 0.370 0.686 0.331
```


(5)
Simulated PXRD pattern
Compound: K2CuSbS3
Radiation: a wavelength of 1.5418 Å
Structure: a crystal structure in OQMD, relaxed with PBE
No peak broadening, texture or thermal motion is included.

Peak list (6 most intense, 10 to 90 degrees two-theta, by angle)
2theta	Rel. int.
17.95	75
24.22	58
24.82	53
28.81	100
29.15	88
32.77	69

Atomic structure:
```
data_K2CuSbS3
_symmetry_space_group_name_H-M 'P 1 21/c 1'
_symmetry_Int_Tables_number 14
_cell_length_a 6.322
_cell_length_b 18.078
_cell_length_c 7.547
_cell_angle_alpha 90.00
_cell_angle_beta 120.36
_cell_angle_gamma 90.00
loop_
_symmetry_equiv_pos_as_xyz
'x,y,z'
'-x,-y,-z'
'-x,y+1/2,-z+1/2'
'x,-y+1/2,z+1/2'
loop_
_atom_site_label
_atom_site_fract_x
_atom_site_fract_y
_atom_site_fract_z
K1 0.083 0.119 0.145
K2 0.355 0.042 0.710
Cu1 0.383 0.221 0.931
Sb1 0.237 0.677 0.004
S1 0.160 0.562 0.814
S2 0.200 0.210 0.584
S3 0.408 0.626 0.354
```


(6)
Simulated PXRD pattern
Compound: K3Ta2Cu3S8
Radiation: a wavelength of 1.5418 Å
Structure: a crystal structure in OQMD, relaxed with PBE
No peak broadening, texture or thermal motion is included.

Peak list (6 most intense, 10 to 90 degrees two-theta, by angle)
2theta	Rel. int.
12.44	25
14.35	100
15.97	47
17.09	33
17.36	36
44.77	31

Atomic structure:
```
data_K3Ta2Cu3S8
_symmetry_space_group_name_H-M 'C 1 2/c 1'
_symmetry_Int_Tables_number 15
_cell_length_a 23.692
_cell_length_b 5.570
_cell_length_c 14.317
_cell_angle_alpha 90.00
_cell_angle_beta 120.41
_cell_angle_gamma 90.00
loop_
_symmetry_equiv_pos_as_xyz
'x,y,z'
'-x,-y,-z'
'-x,y,-z+1/2'
'x,-y,z+1/2'
'x+1/2,y+1/2,z'
'-x+1/2,-y+1/2,-z'
'-x+1/2,y+1/2,-z+1/2'
'x+1/2,-y+1/2,z+1/2'
loop_
_atom_site_label
_atom_site_fract_x
_atom_site_fract_y
_atom_site_fract_z
K1 0.000 0.000 0.000
K2 0.192 0.460 0.095
Ta1 0.126 0.282 0.780
Cu1 0.000 0.278 0.750
Cu2 0.123 0.218 0.281
S1 0.039 0.481 0.160
S2 0.091 0.048 0.874
S3 0.157 0.032 0.686
S4 0.210 0.471 0.391
```


(7)
Simulated PXRD pattern
Compound: K3Th2Cu3S7
Radiation: a wavelength of 1.5418 Å
Structure: a crystal structure in OQMD, relaxed with PBE
No peak broadening, texture or thermal motion is included.

Peak list (6 most intense, 10 to 90 degrees two-theta, by angle)
2theta	Rel. int.
12.46	100
12.97	70
25.32	37
28.96	42
29.16	70
32.46	53

Atomic structure:
```
data_K3Th2Cu3S7
_symmetry_space_group_name_H-M 'P b c n'
_symmetry_Int_Tables_number 60
_cell_length_a 4.062
_cell_length_b 14.205
_cell_length_c 24.691
_cell_angle_alpha 90.00
_cell_angle_beta 90.00
_cell_angle_gamma 90.00
loop_
_symmetry_equiv_pos_as_xyz
'x,y,z'
'-x,-y,-z'
'-x+1/2,-y+1/2,z+1/2'
'x+1/2,y+1/2,-z+1/2'
'x+1/2,-y+1/2,-z'
'-x+1/2,y+1/2,z'
'-x,y,-z+1/2'
'x,-y,z+1/2'
loop_
_atom_site_label
_atom_site_fract_x
_atom_site_fract_y
_atom_site_fract_z
K1 0.000 0.069 0.250
K2 0.005 0.454 0.563
Th1 0.002 0.191 0.642
Cu1 0.000 0.340 0.250
Cu2 0.001 0.263 0.462
S1 0.000 0.252 0.750
S2 0.002 0.142 0.532
S3 0.002 0.182 0.379
S4 0.002 0.434 0.328
```


(8)
Simulated PXRD pattern
Compound: K2Tl4Cu4S9
Radiation: a wavelength of 1.5418 Å
Structure: a crystal structure in OQMD, relaxed with PBE
No peak broadening, texture or thermal motion is included.

Peak list (6 most intense, 10 to 90 degrees two-theta, by angle)
2theta	Rel. int.
10.85	79
13.54	100
26.20	66
27.66	97
30.02	77
32.20	64

Atomic structure:
```
data_K2Tl4Cu4S9
_symmetry_space_group_name_H-M 'C 1 2/m 1'
_symmetry_Int_Tables_number 12
_cell_length_a 13.685
_cell_length_b 3.929
_cell_length_c 17.070
_cell_angle_alpha 90.00
_cell_angle_beta 107.12
_cell_angle_gamma 90.00
loop_
_symmetry_equiv_pos_as_xyz
'x,y,z'
'-x,-y,-z'
'-x,y,-z'
'x,-y,z'
'x+1/2,y+1/2,z'
'-x+1/2,-y+1/2,-z'
'-x+1/2,y+1/2,-z'
'x+1/2,-y+1/2,z'
loop_
_atom_site_label
_atom_site_fract_x
_atom_site_fract_y
_atom_site_fract_z
K1 0.036 0.000 0.281
Tl1 0.148 0.500 0.537
Tl2 0.220 0.000 0.104
Cu1 0.043 0.500 0.922
Cu2 0.233 0.000 0.722
S1 0.000 0.000 0.500
S2 0.118 0.500 0.156
S3 0.126 0.000 0.947
S4 0.158 0.500 0.743
S5 0.213 0.500 0.394
```